Starting from a DFT-relaxed cell (PBE, the Materials Project), the powder diffraction line list of Ce5Mg was computed for Cu Kα (weighted mean of Kα1 and Kα2).
Neutral-atom scattering factors, no anomalous dispersion.

Cell: 12.743 3.240 8.017 Å, 90.00 109.46 90.00°
Space group Cm (No. 8)
Unique sites:
Ce1 0.000 0.000 0.000 x2
Ce2 0.038 0.000 0.578 x2
Ce3 0.143 0.500 0.283 x2
Ce4 0.206 0.500 0.891 x2
Ce5 0.356 0.000 0.233 x2
Mg1 0.319 0.000 0.631 x2

Principal peaks in the range 2θ = 10–90°, in order of rising 2θ:
2θ (°)	I (rel.)	h k l
11.7	12	0 0 1
31.3	32	4 0 -2
31.9	25	2 0 2
35.6	100	3 1 0
45.3	18	6 0 0
56.8	15	0 2 0
58.5	21	7 1 -2
66.3	18	4 2 -2

=====

Starting from a DFT-relaxed cell (PBE, the Materials Project), the powder diffraction line list of ZnP2O6 was computed for Cu Kα (weighted mean of Kα1 and Kα2).
Neutral-atom scattering factors, no anomalous dispersion.

Cell: 7.770 7.742 16.643 Å, 90.00 91.89 90.00°
Space group Cc (No. 9)
Unique sites:
Zn1 0.000 0.097 0.000 x4
Zn2 0.403 0.309 0.281 x4
P1 0.079 0.231 0.390 x4
P2 0.088 0.484 0.524 x4
P3 0.310 0.019 0.142 x4
P4 0.319 0.284 0.755 x4
O1 0.009 0.335 0.466 x4
O2 0.027 0.346 0.992 x4
O3 0.040 0.042 0.403 x4
O4 0.144 0.257 0.788 x4
O5 0.177 0.002 0.075 x4
O6 0.261 0.287 0.376 x4
O7 0.276 0.458 0.542 x4
O8 0.280 0.143 0.209 x4
O9 0.347 0.172 0.676 x4
O10 0.373 0.463 0.733 x4
O11 0.459 0.197 0.817 x4
O12 0.495 0.066 0.106 x4

Principal peaks in the range 2θ = 10–90°, in order of rising 2θ:
2θ (°)	I (rel.)	h k l
19.6	22	1 1 2
21.4	35	0 0 4
23.6	27	0 2 1
25.0	73	2 0 -2
25.4	100	0 2 2
25.6	35	2 0 2
27.2	32	1 1 4
31.8	28	1 1 5

=====

Starting from a DFT-relaxed cell (PBE, the Materials Project), the powder diffraction line list of TbSbRh was computed for Cu Kα (weighted mean of Kα1 and Kα2).
Neutral-atom scattering factors, no anomalous dispersion.

Cell: 7.202 4.575 7.882 Å, 90.00 90.00 90.00°
Space group Pnma (No. 62)
Unique sites:
Tb1 0.008 0.250 0.202 x4
Sb1 0.195 0.250 0.592 x4
Rh1 0.194 0.750 0.418 x4

Principal peaks in the range 2θ = 10–90°, in order of rising 2θ:
2θ (°)	I (rel.)	h k l
32.5	34	1 1 2
33.7	100	2 1 1
39.2	19	3 0 1
39.4	30	0 2 0
39.6	42	0 1 3
52.8	15	2 2 2
56.8	12	3 2 1
64.5	17	3 1 4

=====

Starting from a DFT-relaxed cell (PBE, the Materials Project), the powder diffraction line list of Ag3As was computed for Cu Kα (weighted mean of Kα1 and Kα2).
Neutral-atom scattering factors, no anomalous dispersion.

Cell: 5.9400 5.9400 4.8004 Å, 90.00 90.00 120.00°
Space group P6_3/mmc (No. 194)
Unique sites:
Ag1 0.1666 0.3332 0.2500 x6
As1 0.3333 0.6667 0.7500 x2

Principal peaks in the range 2θ = 10–90°, in order of rising 2θ:
2θ (°)	I (rel.)	h k l
34.9	24	2 0 0
37.5	26	0 0 2
39.8	100	2 0 1
52.1	15	2 0 2
62.5	17	2 2 0
69.1	18	2 0 3
75.2	19	2 2 2
76.7	14	4 0 1

=====

Starting from a DFT-relaxed cell (PBE, the Materials Project), the powder diffraction line list of CeSe2 was computed for Cu Kα (weighted mean of Kα1 and Kα2).
Neutral-atom scattering factors, no anomalous dispersion.

Cell: 4.8036 4.8036 3.5782 Å, 90.00 90.00 120.00°
Space group P6/mmm (No. 191)
Unique sites:
Ce1 0.0000 0.0000 0.0000 x1
Se1 0.3333 0.6667 0.5000 x2

Principal peaks in the range 2θ = 10–90°, in order of rising 2θ:
2θ (°)	I (rel.)	h k l
33.0	100	1 0 1
37.4	66	1 1 0
50.8	29	2 0 1
64.8	28	2 1 1
65.0	26	1 1 2
67.6	11	3 0 0
89.2	12	3 1 1
89.4	11	3 0 2

=====

Starting from a DFT-relaxed cell (PBE, the Materials Project), the powder diffraction line list of Ba2Er2CuPtO8 was computed for Cu Kα (weighted mean of Kα1 and Kα2).
Neutral-atom scattering factors, no anomalous dispersion.

Cell: 13.326 5.712 10.395 Å, 90.00 90.00 90.00°
Space group Pnma (No. 62)
Unique sites:
Ba1 0.077 0.250 0.093 x4
Ba2 0.207 0.750 0.315 x4
Er1 0.083 0.250 0.487 x4
Er2 0.141 0.750 0.688 x4
Cu1 0.039 0.250 0.767 x4
Pt1 0.194 0.750 0.968 x4
O1 0.008 0.004 0.635 x8
O2 0.089 0.750 0.110 x4
O3 0.114 0.509 0.860 x8
O4 0.204 0.250 0.315 x4
O5 0.215 0.009 0.557 x8

Principal peaks in the range 2θ = 10–90°, in order of rising 2θ:
2θ (°)	I (rel.)	h k l
18.9	23	1 1 1
26.8	27	2 1 2
30.9	98	1 1 3
31.1	100	4 1 0
31.3	69	0 2 0
32.3	26	4 1 1
46.0	30	3 2 3
55.6	39	4 3 0